1.
For MgGa, a cell relaxed with PBE gives the simulated powder diffractogram in this record (copper Kα).

Main lines, most intense first (10° ≤ 2θ ≤ 90°):
2θ (°)	I_rel
35.66	100
42.13	62
18.77	37
38.06	28
33.88	27
72.81	23
59.45	22
62.74	18
71.30	12
46.50	11
75.53	10
75.79	10

Atomic structure:
Cell lengths 3.109, 3.109, 14.186 Å; angles 90.00, 90.00, 120.00 degrees
Fractional coordinates of all 6 atoms:
Mg 0.000 0.000 0.000
Mg 0.333 0.667 0.667
Mg 0.667 0.333 0.333
Ga 0.000 0.000 0.500
Ga 0.333 0.667 0.167
Ga 0.667 0.333 0.833



2.
For Mg2Ga, a cell relaxed with PBE gives the simulated powder diffractogram in this record (copper Kα).

Main lines, most intense first (10° ≤ 2θ ≤ 90°):
2θ (°)	I_rel
37.69	100
38.90	65
34.35	59
12.36	38
34.07	34
16.68	30
40.06	29
61.82	20
31.79	18
24.70	18
48.16	16
24.06	16

Atomic structure:
Cell lengths 11.335, 3.057, 7.635 Å; angles 90.00, 110.27, 90.00 degrees
Fractional coordinates of all 12 atoms:
Mg 0.033 0.000 0.320
Mg 0.142 0.500 0.037
Mg 0.358 0.000 0.963
Mg 0.467 0.500 0.680
Mg 0.533 0.500 0.320
Mg 0.642 0.000 0.037
Mg 0.858 0.500 0.963
Mg 0.967 0.000 0.680
Ga 0.192 0.500 0.647
Ga 0.308 0.000 0.353
Ga 0.692 0.000 0.647
Ga 0.808 0.500 0.353



Repeat the first record exactly.
For MgGa, a cell relaxed with PBE gives the simulated powder diffractogram in this record (copper Kα).

Main lines, most intense first (10° ≤ 2θ ≤ 90°):
2θ (°)	I_rel
35.66	100
42.13	62
18.77	37
38.06	28
33.88	27
72.81	23
59.45	22
62.74	18
71.30	12
46.50	11
75.53	10
75.79	10

Atomic structure:
Cell lengths 3.109, 3.109, 14.186 Å; angles 90.00, 90.00, 120.00 degrees
Fractional coordinates of all 6 atoms:
Mg 0.000 0.000 0.000
Mg 0.333 0.667 0.667
Mg 0.667 0.333 0.333
Ga 0.000 0.000 0.500
Ga 0.333 0.667 0.167
Ga 0.667 0.333 0.833